(1)
Diffraction record for BaAlCoCuO5. The XRD peak list is simulated, not measured: it uses a structure optimized by DFT (GGA+U) and Cu Ka.

Top 6 peaks for 2θ = 10–80°, by angle:
2θ (°)  I/Imax  (hkl)
26.4  43  1 0 1
32.6  100  1 0 2
34.1  39  1 1 0
48.2  17  1 1 3
49.0  31  2 0 0
60.1  33  2 1 2

Atomic structure:
Unit cell a=3.716 b=3.716 c=8.152 alpha=90.00 beta=90.00 gamma=90.00
Atoms (fractional coordinates):
Ba1 0.000 0.000 0.000
Al1 0.000 0.000 0.462
Co1 0.500 0.500 0.665
Cu1 0.500 0.500 0.261
O1 0.000 0.500 0.254
O2 0.000 0.500 0.565
O3 0.500 0.000 0.254
O4 0.500 0.000 0.565
O5 0.500 0.500 0.885


(2)
Diffraction record for Ba2AlTlCo2O7. The XRD peak list is simulated, not measured: it uses a structure optimized by DFT (GGA+U) and Cu Ka.

Top 6 peaks for 2θ = 10–80°, by angle:
2θ (°)  I/Imax  (hkl)
24.7  68  0 1 2
30.3  100  1 1 0
30.5  62  1 0 2
30.8  36  1 0 -3
38.3  22  0 2 0
40.0  19  0 0 5

Atomic structure:
Unit cell a=3.836 b=4.700 c=11.400 alpha=90.00 beta=98.96 gamma=90.00
Atoms (fractional coordinates):
Ba1 0.126 0.000 0.221
Ba2 0.874 0.000 0.779
Al1 0.000 0.876 0.500
Tl1 0.500 0.548 0.000
Co1 0.345 0.469 0.624
Co2 0.655 0.469 0.376
O1 0.000 0.816 0.000
O2 0.178 0.612 0.408
O3 0.283 0.059 0.611
O4 0.411 0.434 0.815
O5 0.589 0.434 0.185
O6 0.717 0.059 0.389
O7 0.822 0.612 0.592